No. 1
Diffraction record for Li2CrWO6. The powder diffractogram is computed, not measured: it uses the PBE+U geometry in the Materials Project and λ = 1.5418 Å (Cu Kα).
Lines closer than 0.1° are merged.

Largest 6 diffraction maxima, by angle, 5 to 70 degrees two-theta:
21.17 deg, I 35, (1 0 1); 24.10 deg, I 100, (1 1 0); 33.49 deg, I 37, (1 1 2); 35.19 deg, I 25, (2 0 0); 40.70 deg, I 19, (1 0 3); 54.49 deg, I 26, (1 3 0)

Atomic structure:
Lattice parameters (Å, degrees): 5.1025 5.3663 7.3976 86.01 89.98 89.99
Space group P1 (No. 1)
One atom of each set of equivalent atoms:
Li 0.0000 0.0000 0.0000 x1
Li 0.0005 0.0063 0.5032 x1
Li 0.4994 0.5102 0.0032 x1
Li 0.5019 0.5046 0.5001 x1
Cr 0.0036 0.5654 0.2842 x1
Cr 0.4964 0.0678 0.7810 x1
W 0.5038 0.0692 0.2819 x1
W 0.9974 0.5668 0.7847 x1
O 0.1175 0.5846 0.0379 x1
O 0.1910 0.2735 0.3489 x1
O 0.1908 0.8912 0.7326 x1
O 0.3054 0.7752 0.3512 x1
O 0.3120 0.3915 0.7325 x1
O 0.3829 0.0866 0.0372 x1
O 0.6154 0.0854 0.5380 x1
O 0.6865 0.3894 0.2329 x1
O 0.6981 0.7721 0.8495 x1
O 0.8033 0.2706 0.8499 x1
O 0.8151 0.8896 0.2340 x1
O 0.8840 0.5875 0.5371 x1

No. 2
Diffraction record for Li9Cr3W7O28. The powder diffractogram is computed, not measured: it uses the PBE+U geometry in the Materials Project and λ = 1.5418 Å (Cu Kα).
Lines closer than 0.1° are merged.

Largest 6 diffraction maxima, by angle, 5 to 70 degrees two-theta:
10.41 deg, I 100, (1 0 1); 17.96 deg, I 62, (0 0 3); 18.12 deg, I 78, (0 2 1); 25.72 deg, I 69, (3 0 0); 29.83 deg, I 31, (2 2 0); 31.61 deg, I 94, (3 0 3)

Atomic structure:
Lattice parameters (Å, degrees): 11.9810 11.9810 14.8192 90.00 90.00 120.00
Space group R3m (No. 160, hexagonal axes)
One atom of each set of equivalent atoms:
Li 0.0109 0.2848 0.0000 x18
Li 0.0884 0.1768 0.6365 x9
Cr 0.1732 0.3464 0.8187 x9
W 0.0000 0.0000 0.0090 x3
W 0.0005 0.5003 0.8649 x9
W 0.1911 0.0955 0.8235 x9
O 0.0000 0.0000 0.7663 x3
O 0.0100 0.2466 0.7490 x18
O 0.0773 0.1546 0.9071 x9
O 0.0870 0.4179 0.9018 x18
O 0.1581 0.0791 0.0651 x9
O 0.1688 0.3375 0.0774 x9
O 0.1737 0.0869 0.5777 x9
O 0.1750 0.3501 0.5756 x9

No. 3
Diffraction record for Li4Cr5WO12. The powder diffractogram is computed, not measured: it uses the PBE+U geometry in the Materials Project and λ = 1.5418 Å (Cu Kα).
Lines closer than 0.1° are merged.

Largest 6 diffraction maxima, by angle, 5 to 70 degrees two-theta:
8.58 deg, I 24, (0 0 1); 17.21 deg, I 100, (0 0 2); 34.79 deg, I 25, (1 3 -1); 35.67 deg, I 20, (1 3 1); 42.18 deg, I 18, (1 3 -3); 44.46 deg, I 16, (1 3 3)

Atomic structure:
Lattice parameters (Å, degrees): 5.2106 9.1543 10.3597 90.00 95.88 90.00
Space group C2/m (No. 12)
One atom of each set of equivalent atoms:
Li 0.2082 0.1685 0.2092 x8
Cr 0.0000 0.0000 0.0000 x2
Cr 0.0000 0.1667 0.5000 x4
Cr 0.0000 0.3364 0.0000 x4
W 0.0000 0.5000 0.5000 x2
O 0.1395 0.1725 0.8963 x8
O 0.1561 0.5000 0.8954 x4
O 0.1842 0.3310 0.6002 x8
O 0.1957 0.0000 0.5949 x4

No. 4
Diffraction record for Li4Y3CrO8. The powder diffractogram is computed, not measured: it uses the PBE+U geometry in the Materials Project and λ = 1.5418 Å (Cu Kα).
Lines closer than 0.1° are merged.

Largest 6 diffraction maxima, by angle, 5 to 70 degrees two-theta:
22.20 deg, I 100, (1 1 1); 34.11 deg, I 29, (2 2 0); 35.88 deg, I 27, (0 4 0); 41.33 deg, I 39, (2 0 2); 47.41 deg, I 24, (3 1 1); 55.87 deg, I 26, (2 4 2)

Atomic structure:
Lattice parameters (Å, degrees): 6.1720 10.0100 6.1853 90.00 90.00 90.00
Space group C222 (No. 21)
One atom of each set of equivalent atoms:
Li 0.0000 0.0000 0.0000 x2
Li 0.0000 0.5000 0.5000 x2
Li 0.2500 0.2500 0.2469 x4
Y 0.0000 0.5000 0.0000 x2
Y 0.2500 0.2500 0.7418 x4
Cr 0.0000 0.0000 0.5000 x2
O 0.0000 0.2067 0.5000 x4
O 0.0000 0.2749 0.0000 x4
O 0.2423 0.0145 0.7366 x8

No. 5
Diffraction record for Lu2MgCr2O8. The powder diffractogram is computed, not measured: it uses the PBE+U geometry in the Materials Project and λ = 1.5418 Å (Cu Kα).
Lines closer than 0.1° are merged.

Largest 6 diffraction maxima, by angle, 5 to 70 degrees two-theta:
18.61 deg, I 53, (1 1 -1); 24.46 deg, I 100, (0 2 1); 33.10 deg, I 23, (2 0 0); 33.23 deg, I 22, (2 0 -2); 33.46 deg, I 35, (2 2 -1); 49.31 deg, I 32, (2 4 -2)

Atomic structure:
Lattice parameters (Å, degrees): 6.3102 10.1348 6.0961 90.00 120.93 90.00
Space group C2 (No. 5)
One atom of each set of equivalent atoms:
Lu 0.0000 0.0000 0.0000 x2
Lu 0.0000 0.2821 0.5000 x2
Mg 0.0000 0.9942 0.5000 x2
Cr 0.0000 0.5039 0.0000 x2
Cr 0.0000 0.7254 0.5000 x2
O 0.0914 0.8511 0.3405 x4
O 0.1042 0.4130 0.8225 x4
O 0.2138 0.1422 0.3318 x4
O 0.2207 0.0972 0.8057 x4

No. 6
Diffraction record for Lu2MgCr2O8. The powder diffractogram is computed, not measured: it uses the PBE+U geometry in the Materials Project and λ = 1.5418 Å (Cu Kα).
Lines closer than 0.1° are merged.

Largest 6 diffraction maxima, by angle, 5 to 70 degrees two-theta:
17.52 deg, I 57, (0 0 1); 24.01 deg, I 100, (1 -1 1); 25.50 deg, I 98, (1 1 -1); 32.22 deg, I 84, (1 0 -2); 34.06 deg, I 42, (1 -2 0); 34.19 deg, I 41, (-2 1 1)

Atomic structure:
Lattice parameters (Å, degrees): 5.8277 5.8575 6.1959 115.96 103.58 106.57
Space group P1 (No. 1)
One atom of each set of equivalent atoms:
Lu 0.0000 0.0000 0.0000 x1
Lu 0.4278 0.6973 0.1288 x1
Mg 0.9885 0.1144 0.5599 x1
Cr 0.5234 0.2451 0.6988 x1
Cr 0.9749 0.5203 0.4325 x1
O 0.1151 0.6252 0.7796 x1
O 0.1826 0.4791 0.2647 x1
O 0.2726 0.0357 0.3538 x1
O 0.2919 0.2169 0.8617 x1
O 0.6471 0.6187 0.8665 x1
O 0.7422 0.1013 0.7454 x1
O 0.7832 0.6904 0.3835 x1
O 0.7841 0.1278 0.2690 x1

No. 7
Diffraction record for LuCrO5. The powder diffractogram is computed, not measured: it uses the PBE+U geometry in the Materials Project and λ = 1.5418 Å (Cu Kα).
Lines closer than 0.1° are merged.

Largest 6 diffraction maxima, by angle, 5 to 70 degrees two-theta:
13.34 deg, I 52, (0 1 1); 18.98 deg, I 100, (0 2 1); 25.58 deg, I 44, (2 1 -1); 26.29 deg, I 72, (2 1 -3); 29.00 deg, I 46, (2 2 -1); 33.90 deg, I 44, (0 1 3)

Atomic structure:
Lattice parameters (Å, degrees): 8.0362 11.4150 11.2370 90.00 133.48 90.00
Space group P2_1/c (No. 14)
One atom of each set of equivalent atoms:
Lu 0.2070 0.0587 0.3399 x4
Lu 0.2493 0.5759 0.1774 x4
Cr 0.1351 0.1721 0.9992 x4
Cr 0.4073 0.6898 0.5446 x4
O 0.0555 0.5402 0.9161 x4
O 0.0588 0.5840 0.6576 x4
O 0.0932 0.1873 0.4343 x4
O 0.1307 0.1652 0.1433 x4
O 0.2123 0.6186 0.3648 x4
O 0.2910 0.7447 0.6088 x4
O 0.3894 0.0966 0.8137 x4
O 0.3925 0.1280 0.0856 x4
O 0.4485 0.5130 0.1041 x4
O 0.4923 0.1932 0.4807 x4

No. 8
Diffraction record for LuCrO3. The powder diffractogram is computed, not measured: it uses the PBE+U geometry in the Materials Project and λ = 1.5418 Å (Cu Kα).
Lines closer than 0.1° are merged.

Largest 6 diffraction maxima, by angle, 5 to 70 degrees two-theta:
23.43 deg, I 47, (0 2 0); 26.22 deg, I 28, (1 1 1); 33.39 deg, I 100, (1 2 1); 34.39 deg, I 41, (0 0 2); 53.85 deg, I 22, (3 1 1); 61.00 deg, I 27, (1 2 3)

Atomic structure:
Lattice parameters (Å, degrees): 5.5634 7.5753 5.2114 90.00 90.00 90.00
Space group Pnma (No. 62)
One atom of each set of equivalent atoms:
Lu 0.0727 0.2500 0.0227 x4
Cr 0.0000 0.0000 0.5000 x4
O 0.0497 0.7500 0.3742 x4
O 0.1936 0.5636 0.8121 x8

No. 9
Diffraction record for LuCrO4. The powder diffractogram is computed, not measured: it uses the PBE+U geometry in the Materials Project and λ = 1.5418 Å (Cu Kα).
Lines closer than 0.1° are merged.

Largest 6 diffraction maxima, by angle, 5 to 70 degrees two-theta:
19.02 deg, I 45, (1 0 1); 25.19 deg, I 100, (2 0 0); 33.98 deg, I 72, (1 1 2); 35.92 deg, I 23, (2 2 0); 50.28 deg, I 59, (3 1 2); 63.33 deg, I 17, (3 3 2)

Atomic structure:
Lattice parameters (Å, degrees): 7.0717 7.0717 6.2103 90.00 90.00 90.00
Space group I4_1/amd (No. 141, origin choice 2)
One atom of each set of equivalent atoms:
Lu 0.0000 0.2500 0.3750 x4
Cr 0.0000 0.2500 0.8750 x4
O 0.0000 0.0633 0.6970 x16